[1]
TlV3Cr2S8: theoretical powder diffractogram (copper Kα), based on a PBE-relaxed structure.
Intensities are scaled so that the largest is 100.

Structure:
a b c (Å): 8.741 8.741 8.788
angles (deg): 102.46 102.46 21.95
Fractional positions:
Tl 0.000 0.000 0.000
V 0.145 0.145 0.489
V 0.500 0.500 0.500
V 0.855 0.855 0.511
Cr 0.205 0.205 0.830
Cr 0.795 0.795 0.170
S 0.070 0.070 0.673
S 0.262 0.262 0.353
S 0.331 0.331 0.008
S 0.414 0.414 0.682
S 0.586 0.586 0.318
S 0.669 0.669 0.992
S 0.738 0.738 0.647
S 0.930 0.930 0.327

Most intense lines, 2θ = 5–70°, in order of falling intensity:
2theta, I_rel
34.2, 100
42.1, 85
21.5, 74
47.5, 73
35.7, 58
20.7, 57
34.3, 48
55.5, 47
35.3, 46
29.7, 46


[2]
Tl2SnHgI4: theoretical powder diffractogram (copper Kα), based on a PBE-relaxed structure.
Intensities are scaled so that the largest is 100.

Structure:
a b c (Å): 7.850 7.850 10.104
angles (deg): 111.32 111.32 35.08
Fractional positions:
Tl 0.198 0.198 0.205
Tl 0.802 0.802 0.795
Sn 0.000 0.000 0.500
Hg 0.500 0.500 0.000
I 0.148 0.148 0.824
I 0.377 0.377 0.567
I 0.623 0.623 0.433
I 0.852 0.852 0.176

Most intense lines, 2θ = 5–70°, in order of falling intensity:
2theta, I_rel
26.0, 100
33.0, 40
26.8, 34
38.0, 26
29.3, 22
27.0, 19
37.4, 17
55.7, 16
18.4, 15
47.1, 15


[3]
Pr5Sn10Ir4: theoretical powder diffractogram (copper Kα), based on a PBE-relaxed structure.
Intensities are scaled so that the largest is 100.

Structure:
a b c (Å): 14.173 14.173 4.702
angles (deg): 90.00 90.00 90.00
Fractional positions:
Pr 0.000 0.000 0.000
Pr 0.112 0.388 0.500
Pr 0.177 0.677 0.500
Pr 0.323 0.177 0.500
Pr 0.388 0.888 0.500
Pr 0.500 0.500 0.000
Pr 0.612 0.112 0.500
Pr 0.677 0.823 0.500
Pr 0.823 0.323 0.500
Pr 0.888 0.612 0.500
Sn 0.003 0.837 0.500
Sn 0.070 0.570 0.000
Sn 0.155 0.198 0.000
Sn 0.163 0.003 0.500
Sn 0.198 0.845 0.000
Sn 0.302 0.345 0.000
Sn 0.337 0.503 0.500
Sn 0.345 0.698 0.000
Sn 0.430 0.070 0.000
Sn 0.497 0.337 0.500
Sn 0.503 0.663 0.500
Sn 0.570 0.930 0.000
Sn 0.655 0.302 0.000
Sn 0.663 0.497 0.500
Sn 0.698 0.655 0.000
Sn 0.802 0.155 0.000
Sn 0.837 0.997 0.500
Sn 0.845 0.802 0.000
Sn 0.930 0.430 0.000
Sn 0.997 0.163 0.500
Ir 0.027 0.754 0.000
Ir 0.246 0.027 0.000
Ir 0.254 0.527 0.000
Ir 0.473 0.254 0.000
Ir 0.527 0.746 0.000
Ir 0.746 0.473 0.000
Ir 0.754 0.973 0.000
Ir 0.973 0.246 0.000

Most intense lines, 2θ = 5–70°, in order of falling intensity:
2theta, I_rel
32.9, 100
32.2, 84
38.3, 70
31.6, 53
40.8, 40
29.6, 39
38.6, 33
34.1, 31
44.8, 25
17.7, 25


[4]
La2Ga12Pd: theoretical powder diffractogram (copper Kα), based on a PBE-relaxed structure.
Intensities are scaled so that the largest is 100.

Structure:
a b c (Å): 6.223 6.223 15.555
angles (deg): 90.00 90.00 90.00
Fractional positions:
La 0.250 0.750 0.243
La 0.250 0.750 0.757
La 0.750 0.250 0.243
La 0.750 0.250 0.757
Ga 0.000 0.000 0.088
Ga 0.000 0.000 0.912
Ga 0.000 0.500 0.088
Ga 0.000 0.500 0.912
Ga 0.079 0.579 0.431
Ga 0.079 0.921 0.569
Ga 0.250 0.250 0.185
Ga 0.250 0.250 0.346
Ga 0.250 0.250 0.654
Ga 0.250 0.250 0.815
Ga 0.421 0.579 0.569
Ga 0.421 0.921 0.431
Ga 0.500 0.000 0.088
Ga 0.500 0.000 0.912
Ga 0.500 0.500 0.088
Ga 0.500 0.500 0.912
Ga 0.579 0.079 0.569
Ga 0.579 0.421 0.431
Ga 0.750 0.750 0.185
Ga 0.750 0.750 0.346
Ga 0.750 0.750 0.654
Ga 0.750 0.750 0.815
Ga 0.921 0.079 0.431
Ga 0.921 0.421 0.569
Pd 0.250 0.750 0.000
Pd 0.750 0.250 0.000

Most intense lines, 2θ = 5–70°, in order of falling intensity:
2theta, I_rel
41.0, 100
31.0, 86
30.7, 68
37.0, 37
52.1, 34
40.4, 29
45.5, 25
67.8, 23
5.7, 20
59.4, 16


[5]
InIrAu2: theoretical powder diffractogram (copper Kα), based on a PBE-relaxed structure.
Intensities are scaled so that the largest is 100.

Structure:
a b c (Å): 2.944 2.944 9.932
angles (deg): 90.00 90.00 121.50
Fractional positions:
In 0.000 0.000 0.000
Ir 0.000 0.000 0.500
Au 0.500 0.500 0.261
Au 0.500 0.500 0.739

Most intense lines, 2θ = 5–70°, in order of falling intensity:
2theta, I_rel
40.3, 100
34.9, 37
36.2, 34
51.2, 24
66.2, 23
67.8, 20
8.9, 16
64.8, 6
45.3, 4
17.9, 3


[6]
PrHg3Pd: theoretical powder diffractogram (copper Kα), based on a PBE-relaxed structure.
Intensities are scaled so that the largest is 100.

Structure:
a b c (Å): 10.093 10.093 10.093
angles (deg): 147.79 147.79 46.20
Fractional positions:
Pr 0.185 0.185 0.000
Pr 0.815 0.815 0.000
Hg 0.375 0.129 0.754
Hg 0.375 0.621 0.246
Hg 0.379 0.625 0.754
Hg 0.557 0.057 0.500
Hg 0.871 0.625 0.246
Hg 0.943 0.443 0.500
Pd 0.250 0.750 0.500
Pd 0.500 0.500 0.000

Most intense lines, 2θ = 5–70°, in order of falling intensity:
2theta, I_rel
38.8, 100
16.5, 58
28.8, 54
33.4, 49
61.6, 46
37.5, 37
32.0, 34
50.1, 27
43.6, 25
36.9, 24


[7]
PmZn2Cd6: theoretical powder diffractogram (copper Kα), based on a PBE-relaxed structure.
Intensities are scaled so that the largest is 100.

Structure:
a b c (Å): 4.382 4.382 10.206
angles (deg): 90.00 90.00 90.00
Fractional positions:
Pm 0.000 0.000 0.000
Zn 0.500 0.500 0.117
Zn 0.500 0.500 0.883
Cd 0.000 0.000 0.500
Cd 0.000 0.500 0.279
Cd 0.000 0.500 0.721
Cd 0.500 0.000 0.279
Cd 0.500 0.000 0.721
Cd 0.500 0.500 0.500

Most intense lines, 2θ = 5–70°, in order of falling intensity:
2theta, I_rel
33.8, 100
41.2, 41
39.3, 16
59.7, 13
55.3, 12
35.2, 11
33.3, 8
62.2, 8
62.3, 7
40.9, 7